# 1
The following is a computed powder X-ray diffraction pattern of TbPr6Er2. It was derived from a cell relaxed with GGA-PBE, using Cu Kα, 1.54184 Å.
Peak positions follow from Bragg's law for the DFT cell and can differ from measured ones.

Atomic structure:
```
data_TbPr6Er2
_chemical_formula_sum 'Tb4 Pr24 Er8'
_space_group_name_H-M_alt 'C 1 2/c 1'
_space_group_IT_number 15
_cell_length_a 16.556
_cell_length_b 11.936
_cell_length_c 6.292
_cell_angle_alpha 90.00
_cell_angle_beta 96.33
_cell_angle_gamma 90.00
loop_
_space_group_symop_operation_xyz
'x,y,z'
'-x,-y,-z'
'-x,y,-z+1/2'
'x,-y,z+1/2'
'x+1/2,y+1/2,z'
'-x+1/2,-y+1/2,-z'
'-x+1/2,y+1/2,-z+1/2'
'x+1/2,-y+1/2,z+1/2'
loop_
_atom_site_label
_atom_site_fract_x
_atom_site_fract_y
_atom_site_fract_z
Tb1 0.000 0.101 0.250
Pr1 0.048 0.360 0.514
Pr2 0.119 0.140 0.819
Pr3 0.216 0.140 0.347
Er1 0.166 0.399 0.084
```

Main lines, by intensity (2θ = 10–80°):
d [Å]  I/Imax
2.871  100
3.033  62
2.959  59
2.984  49
2.463  33
2.423  29
1.700  22
1.684  22
1.436  14
1.858  14
1.807  13
1.881  12

=====

# 2
The following is a computed powder X-ray diffraction pattern of InAuC. It was derived from a cell relaxed with GGA-PBE, using Cu Kα, 1.54184 Å.
Peak positions follow from Bragg's law for the DFT cell and can differ from measured ones.

Atomic structure:
```
data_InAuC
_chemical_formula_sum 'In2 Au2 C2'
_space_group_name_H-M_alt 'P 1'
_space_group_IT_number 1
_cell_length_a 4.805
_cell_length_b 4.827
_cell_length_c 6.230
_cell_angle_alpha 72.46
_cell_angle_beta 86.58
_cell_angle_gamma 70.56
loop_
_space_group_symop_operation_xyz
'x,y,z'
loop_
_atom_site_label
_atom_site_fract_x
_atom_site_fract_y
_atom_site_fract_z
In1 0.000 0.000 0.000
In2 0.200 0.373 0.422
Au1 0.390 0.306 0.997
Au2 0.638 0.645 0.190
C1 0.168 0.925 0.644
C2 0.217 0.639 0.668
```

Main lines, by intensity (2θ = 10–80°):
d [Å]  I/Imax
5.934  100
2.275  57
2.717  37
2.885  31
2.292  25
2.351  21
2.126  20
2.535  18
2.364  17
1.945  17
3.680  16
4.145  14